Starting from a structure optimized by DFT (PBE), the powder X-ray diffraction pattern of La3Sm4Dy3 was simulated for CuKα.
Neutral-atom scattering factors, no anomalous dispersion.

Structure:
Lattice parameters (Å, degrees): 3.801 13.581 13.527 90.00 90.00 90.00
Space group Amm2 (No. 38)
Symmetry-distinct sites (fractional):
La 0.000 0.000 0.000 [2 per cell]
La 0.500 0.245 0.420 [4 per cell]
Sm 0.500 0.000 0.545 [2 per cell]
Sm 0.500 0.000 0.795 [2 per cell]
Sm 0.500 0.128 0.175 [4 per cell]
Dy 0.000 0.000 0.343 [2 per cell]
Dy 0.000 0.170 0.670 [4 per cell]

Peak list (10 most intense, 10 to 90 degrees two-theta, sorted by position)
29.47 deg, I 58
30.00 deg, I 26
31.45 deg, I 100
38.74 deg, I 9
45.75 deg, I 12
47.86 deg, I 11
54.46 deg, I 15
57.08 deg, I 9
57.21 deg, I 26
78.75 deg, I 7